Entry 1:
For Tb3Eu, DFT lattice parameters and positions (GGA-PBE) gives the simulated powder diffraction line list in this record (Cu Kα).

Top 5 peaks for 5 to 70 degrees two-theta, most intense first:
d 2.928, intensity 100, hkl 1 1 1
d 2.536, intensity 51, hkl 2 0 0
d 1.529, intensity 43, hkl 3 1 1
d 1.793, intensity 36, hkl 2 2 0
d 1.464, intensity 12, hkl 2 2 2

abc: 5.0716 5.0716 5.0716
angles: 90.00 90.00 90.00
Space group Pm-3m (No. 221)
Symmetry-distinct sites (fractional):
Tb (0.0000, 0.0000, 0.5000) [3 per cell]
Eu (0.5000, 0.5000, 0.5000) [1 per cell]

---

Entry 2:
For Eu3Te, DFT lattice parameters and positions (GGA-PBE) gives the simulated powder diffraction line list in this record (Cu Kα).

Top 6 peaks for 5 to 70 degrees two-theta, most intense first:
d 2.977, intensity 100, hkl 1 1 1
d 2.578, intensity 51, hkl 2 0 0
d 1.555, intensity 43, hkl 3 1 1
d 1.823, intensity 36, hkl 2 2 0
d 1.488, intensity 12, hkl 2 2 2
d 5.156, intensity 1, hkl 1 0 0

abc: 5.1559 5.1559 5.1559
angles: 90.00 90.00 90.00
Space group Pm-3m (No. 221)
Symmetry-distinct sites (fractional):
Eu (0.0000, 0.0000, 0.5000) [3 per cell]
Te (0.5000, 0.5000, 0.5000) [1 per cell]

---

Entry 3:
For EuTe, DFT lattice parameters and positions (GGA-PBE) gives the simulated powder diffraction line list in this record (Cu Kα).

Top 6 peaks for 5 to 70 degrees two-theta, most intense first:
d 2.857, intensity 100, hkl 1 1 0
d 1.649, intensity 39, hkl 2 1 1
d 2.020, intensity 18, hkl 2 0 0
d 1.428, intensity 12, hkl 2 2 0
d 4.040, intensity 1, hkl 1 0 0
d 1.807, intensity 1, hkl 2 1 0

abc: 4.0400 4.0400 4.0400
angles: 90.00 90.00 90.00
Space group Pm-3m (No. 221)
Symmetry-distinct sites (fractional):
Eu (0.0000, 0.0000, 0.0000) [1 per cell]
Te (0.5000, 0.5000, 0.5000) [1 per cell]

---

Entry 4:
For EuTe, DFT lattice parameters and positions (GGA-PBE) gives the simulated powder diffraction line list in this record (Cu Kα).

Top 6 peaks for 5 to 70 degrees two-theta, most intense first:
d 3.272, intensity 100, hkl 2 0 0
d 2.314, intensity 78, hkl 2 2 0
d 1.463, intensity 36, hkl 4 2 0
d 1.889, intensity 28, hkl 2 2 2
d 1.636, intensity 13, hkl 4 0 0
d 3.778, intensity 2, hkl 1 1 1

abc: 6.5440 6.5440 6.5440
angles: 90.00 90.00 90.00
Space group Fm-3m (No. 225)
Symmetry-distinct sites (fractional):
Eu (0.0000, 0.0000, 0.0000) [4 per cell]
Te (0.0000, 0.0000, 0.5000) [4 per cell]

---

Entry 5:
For EuTl3, DFT lattice parameters and positions (GGA-PBE) gives the simulated powder diffraction line list in this record (Cu Kα).

Top 6 peaks for 5 to 70 degrees two-theta, most intense first:
d 2.719, intensity 100, hkl 0 0 2
d 1.509, intensity 32, hkl 2 2 2
d 3.143, intensity 20, hkl 2 0 0
d 1.815, intensity 17, hkl 2 2 0
d 1.569, intensity 16, hkl 2 0 3
d 2.055, intensity 12, hkl 2 0 2

abc: 7.2581 7.2581 5.4303
angles: 90.00 90.00 120.00
Space group P6_3/mmc (No. 194)
Symmetry-distinct sites (fractional):
Eu (0.3333, 0.6667, 0.2500) [2 per cell]
Tl (0.1641, 0.3281, 0.7500) [6 per cell]

---

Entry 6:
For EuTl3, DFT lattice parameters and positions (GGA-PBE) gives the simulated powder diffraction line list in this record (Cu Kα).

Top 6 peaks for 5 to 70 degrees two-theta, most intense first:
d 2.857, intensity 100, hkl 1 1 1
d 2.474, intensity 51, hkl 2 0 0
d 1.492, intensity 43, hkl 3 1 1
d 1.750, intensity 36, hkl 2 2 0
d 1.429, intensity 12, hkl 2 2 2
d 4.949, intensity 1, hkl 1 0 0

abc: 4.9487 4.9487 4.9487
angles: 90.00 90.00 90.00
Space group Pm-3m (No. 221)
Symmetry-distinct sites (fractional):
Eu (0.0000, 0.0000, 0.0000) [1 per cell]
Tl (0.0000, 0.5000, 0.5000) [3 per cell]

---

Entry 7:
For EuTl, DFT lattice parameters and positions (GGA-PBE) gives the simulated powder diffraction line list in this record (Cu Kα).

Top 6 peaks for 5 to 70 degrees two-theta, most intense first:
d 3.189, intensity 100, hkl 1 1 0
d 1.841, intensity 42, hkl 2 1 1
d 2.255, intensity 19, hkl 2 0 0
d 1.426, intensity 18, hkl 3 1 0
d 1.594, intensity 13, hkl 2 2 0
d 4.509, intensity 2, hkl 1 0 0

abc: 4.5094 4.5094 4.5094
angles: 90.00 90.00 90.00
Space group Pm-3m (No. 221)
Symmetry-distinct sites (fractional):
Eu (0.0000, 0.0000, 0.0000) [1 per cell]
Tl (0.5000, 0.5000, 0.5000) [1 per cell]

---

Entry 8:
For EuTl2, DFT lattice parameters and positions (GGA-PBE) gives the simulated powder diffraction line list in this record (Cu Kα).

Top 6 peaks for 5 to 70 degrees two-theta, most intense first:
d 2.589, intensity 100, hkl 1 1 0
d 3.004, intensity 100, hkl 1 0 2
d 2.312, intensity 34, hkl 1 0 3
d 1.961, intensity 30, hkl 2 0 2
d 1.563, intensity 29, hkl 2 1 2
d 3.922, intensity 19, hkl 1 0 1

abc: 5.1780 5.1780 8.0929
angles: 90.00 90.00 120.00
Space group P6_3/mmc (No. 194)
Symmetry-distinct sites (fractional):
Eu (0.0000, 0.0000, 0.2500) [2 per cell]
Tl (0.3333, 0.6667, 0.0466) [4 per cell]